Entry 1:
Structure and computed PXRD pattern of V2CdBRh (a crystal structure in Alexandria, relaxed with GGA-PBE; Cu Kα, 1.54184 Å).

Structure:
Cell lengths 4.083, 4.083, 4.283 Å; angles 90.00, 90.00, 90.00 degrees
Space group P4/mmm (No. 123)
Asymmetric unit:
V (0.000, 0.500, 0.000) x2
Cd (0.000, 0.000, 0.500) x1
B (0.000, 0.000, 0.000) x1
Rh (0.500, 0.500, 0.500) x1

Main lines, in order of rising 2θ (2θ from 10° to 80°):
2θ 20.7, rel. 13.7, (0 0 1)
2θ 31.0, rel. 14.2, (1 1 0)
2θ 37.6, rel. 100.0, (1 1 1)
2θ 42.2, rel. 19.6, (0 0 2)
2θ 44.4, rel. 33.6, (2 0 0)
2θ 62.9, rel. 22.4, (2 0 2)
2θ 74.1, rel. 12.4, (1 1 3)
2θ 77.2, rel. 22.1, (3 1 1)

---

Entry 2:
Structure and computed PXRD pattern of TaCdBS2 (a crystal structure in Alexandria, relaxed with GGA-PBE; Cu Kα, 1.54184 Å).

Structure:
Cell lengths 5.027, 5.027, 4.092 Å; angles 90.00, 90.00, 90.00 degrees
Space group P4/mmm (No. 123)
Asymmetric unit:
Ta (0.000, 0.000, 0.000) x1
Cd (0.500, 0.500, 0.500) x1
B (0.500, 0.500, 0.000) x1
S (0.000, 0.500, 0.500) x2

Main lines, in order of rising 2θ (2θ from 10° to 80°):
2θ 25.1, rel. 44.7, (1 1 0)
2θ 28.1, rel. 100.0, (1 0 1)
2θ 33.4, rel. 15.0, (1 1 1)
2θ 35.7, rel. 44.4, (2 0 0)
2θ 46.1, rel. 52.6, (2 1 1)
2θ 51.4, rel. 15.2, (2 2 0)
2θ 58.1, rel. 20.7, (2 0 2)
2θ 71.5, rel. 14.1, (3 2 1)

---

Entry 3:
Structure and computed PXRD pattern of CdB3Te (a crystal structure in Alexandria, relaxed with GGA-PBE; Cu Kα, 1.54184 Å).

Structure:
Cell lengths 4.494, 4.494, 4.494 Å; angles 90.00, 90.00, 90.00 degrees
Space group Pm-3m (No. 221)
Asymmetric unit:
Cd (0.000, 0.000, 0.000) x1
B (0.000, 0.500, 0.500) x3
Te (0.500, 0.500, 0.500) x1

Main lines, in order of rising 2θ (2θ from 10° to 80°):
2θ 19.8, rel. 0.8, (1 0 0)
2θ 28.1, rel. 100.0, (1 1 0)
2θ 40.1, rel. 24.5, (2 0 0)
2θ 49.7, rel. 41.0, (2 1 1)
2θ 58.1, rel. 15.8, (2 2 0)
2θ 65.7, rel. 17.3, (3 1 0)
2θ 72.9, rel. 5.3, (2 2 2)
2θ 79.9, rel. 19.8, (3 2 1)

---

Entry 4:
Structure and computed PXRD pattern of TlCdB (a crystal structure in Alexandria, relaxed with GGA-PBE; Cu Kα, 1.54184 Å).

Structure:
Cell lengths 4.360, 4.360, 7.430 Å; angles 90.00, 90.00, 90.00 degrees
Space group P-4m2 (No. 115)
Asymmetric unit:
Tl (0.000, 0.500, 0.139) x2
Cd (0.000, 0.500, 0.678) x2
B (0.500, 0.500, 0.394) x2

Main lines, in order of rising 2θ (2θ from 10° to 80°):
2θ 11.9, rel. 13.7, (0 0 1)
2θ 29.0, rel. 71.6, (1 1 0)
2θ 31.6, rel. 100.0, (1 0 2)
2θ 41.4, rel. 30.4, (2 0 0)
2θ 53.0, rel. 46.8, (2 1 2)
2θ 60.0, rel. 10.1, (2 2 0)
2θ 68.0, rel. 12.7, (3 1 0)
2θ 69.4, rel. 10.4, (3 0 2)